(1)
For Ce4TlSn, a structure optimized by DFT (GGA-PBE) gives the calculated XRD peak list in this record (copper Kα).
Peak positions follow from Bragg's law for the DFT cell and can differ from measured ones.

Principal peaks in the range 10 to 90 degrees two-theta, in order of rising 2θ:
29.2 deg, intensity 43, hkl 1 1 -2
30.1 deg, intensity 59, hkl 1 3 1
31.6 deg, intensity 100, hkl 3 1 -1
33.3 deg, intensity 43, hkl 2 2 -2
33.8 deg, intensity 31, hkl 0 2 2
34.5 deg, intensity 87, hkl 2 2 1
34.8 deg, intensity 31, hkl 2 4 -1
35.1 deg, intensity 83, hkl 1 3 -2
35.9 deg, intensity 92, hkl 1 5 0
47.3 deg, intensity 37, hkl 4 2 0

Unit cell a=8.7152 b=13.1689 c=6.2808 alpha=90.00 beta=112.66 gamma=90.00
Space group C2/c (No. 15)
Inequivalent atoms, fractional coordinates:
1 Ce 0.1334 0.2073 0.0781 [8 per cell]
2 Ce 0.1758 0.3830 0.3317 [8 per cell]
3 Tl 0.0000 0.3986 0.7500 [4 per cell]
4 Sn 0.0000 0.0012 0.7500 [4 per cell]

---

(2)
For Ac2Pm4Er, a structure optimized by DFT (GGA-PBE) gives the calculated XRD peak list in this record (copper Kα).
Peak positions follow from Bragg's law for the DFT cell and can differ from measured ones.

Principal peaks in the range 10 to 90 degrees two-theta, in order of rising 2θ:
28.1 deg, intensity 39, hkl 0 0 2
28.2 deg, intensity 43, hkl 4 2 0
29.2 deg, intensity 100, hkl 1 7 1
30.5 deg, intensity 45, hkl 3 5 1
32.1 deg, intensity 23, hkl 2 2 2
35.2 deg, intensity 22, hkl 3 7 1
39.6 deg, intensity 22, hkl 4 0 2
50.4 deg, intensity 29, hkl 0 14 0
57.4 deg, intensity 25, hkl 7 7 1
58.7 deg, intensity 17, hkl 0 14 2

Unit cell a=13.0694 b=25.3606 c=6.3561 alpha=90.00 beta=90.00 gamma=90.00
Space group Ccce (No. 68, origin choice 2)
Inequivalent atoms, fractional coordinates:
1 Ac 0.0000 0.0420 0.2500 [8 per cell]
2 Ac 0.1394 0.2500 0.7500 [8 per cell]
3 Pm 0.1310 0.1739 0.2496 [16 per cell]
4 Pm 0.1343 0.1062 0.7494 [16 per cell]
5 Er 0.2500 0.0000 0.4991 [8 per cell]

---

(3)
For Hf6Al2Ga, a structure optimized by DFT (GGA-PBE) gives the calculated XRD peak list in this record (copper Kα).
Peak positions follow from Bragg's law for the DFT cell and can differ from measured ones.

Principal peaks in the range 10 to 90 degrees two-theta, in order of rising 2θ:
23.9 deg, intensity 3, hkl 1 1 0
27.6 deg, intensity 78, hkl 1 0 3
39.4 deg, intensity 100, hkl 2 0 0
46.6 deg, intensity 1, hkl 0 3 3
48.8 deg, intensity 23, hkl 2 2 0
57.0 deg, intensity 17, hkl 2 0 6
62.7 deg, intensity 1, hkl 2 3 3
64.5 deg, intensity 30, hkl 3 0 3
71.5 deg, intensity 35, hkl 3 2 3
84.9 deg, intensity 11, hkl 4 0 0

Unit cell a=4.5682 b=6.4609 c=13.7065 alpha=90.00 beta=90.00 gamma=90.00
Space group Immm (No. 71)
Inequivalent atoms, fractional coordinates:
1 Hf 0.0000 0.2493 0.0000 [4 per cell]
2 Hf 0.0000 0.2504 0.3336 [8 per cell]
3 Al 0.0000 0.5000 0.1664 [4 per cell]
4 Ga 0.0000 0.5000 0.5000 [2 per cell]